# 1
LiMgIn3: theoretical PXRD pattern (CuKα), based on a DFT-relaxed cell (GGA-PBE, Alexandria).

Main lines, by angle (10 to 90 degrees two-theta):
| 2θ/deg | d [Å] | I_rel |
| --- | --- | --- |
| 13.8 | 6.436 | 813 |
| 22.6 | 3.941 | 827 |
| 28.5 | 3.134 | 983 |
| 30.4 | 2.937 | 832 |
| 37.9 | 2.373 | 1000 |
| 43.5 | 2.081 | 713 |

Structure:
Cell: 5.3357 7.1765 6.7184 Å, 90.00 106.68 90.00°
Sites, in units of the cell vectors:
Li 0.1562 0.2500 0.2607
Li 0.8438 0.7500 0.7393
Mg 0.4233 0.7500 0.0262
Mg 0.5767 0.2500 0.9738
In 0.0045 0.2500 0.7926
In 0.3085 0.5368 0.6184
In 0.3085 0.9632 0.6184
In 0.6915 0.0368 0.3816
In 0.6915 0.4632 0.3816
In 0.9955 0.7500 0.2074

# 2
Li5Mg2In12: theoretical PXRD pattern (CuKα), based on a DFT-relaxed cell (GGA-PBE, Alexandria).

Main lines, by angle (10 to 90 degrees two-theta):
| 2θ/deg | d [Å] | I_rel |
| --- | --- | --- |
| 23.9 | 3.716 | 323 |
| 33.7 | 2.657 | 310 |
| 34.0 | 2.635 | 972 |
| 35.6 | 2.523 | 1000 |
| 38.6 | 2.334 | 436 |
| 41.1 | 2.195 | 258 |

Structure:
Cell: 8.4229 8.4229 7.1499 Å, 94.44 94.44 62.19°
Sites, in units of the cell vectors:
Li 0.0000 0.0000 0.0000
Li 0.2431 0.2431 0.0102
Li 0.3388 0.3388 0.5917
Li 0.6612 0.6612 0.4083
Li 0.7569 0.7569 0.9898
Mg 0.1966 0.8034 0.5000
Mg 0.8034 0.1966 0.5000
In 0.0338 0.5757 0.3005
In 0.1514 0.1514 0.3575
In 0.1836 0.6075 0.9106
In 0.3925 0.8164 0.0894
In 0.4243 0.9662 0.6995
In 0.4524 0.4524 0.2738
In 0.5476 0.5476 0.7262
In 0.5757 0.0338 0.3005
In 0.6075 0.1836 0.9106
In 0.8164 0.3925 0.0894
In 0.8486 0.8486 0.6425
In 0.9662 0.4243 0.6995

# 3
Li2Mg4In5: theoretical PXRD pattern (CuKα), based on a DFT-relaxed cell (GGA-PBE, Alexandria).

Main lines, by angle (10 to 90 degrees two-theta):
| 2θ/deg | d [Å] | I_rel |
| --- | --- | --- |
| 20.1 | 4.409 | 1000 |
| 33.2 | 2.699 | 945 |
| 34.8 | 2.581 | 973 |
| 35.8 | 2.509 | 845 |
| 36.4 | 2.469 | 803 |
| 36.7 | 2.449 | 816 |

Structure:
Cell: 5.1667 5.6832 8.8998 Å, 97.81 104.50 91.05°
Sites, in units of the cell vectors:
Li 0.0832 0.0603 0.1676
Li 0.9168 0.9397 0.8324
Mg 0.1750 0.6027 0.3516
Mg 0.4508 0.2299 0.8981
Mg 0.5492 0.7701 0.1019
Mg 0.8250 0.3973 0.6484
In 0.0000 0.5000 0.0000
In 0.2594 0.1542 0.5170
In 0.3678 0.7052 0.7334
In 0.6322 0.2948 0.2666
In 0.7406 0.8458 0.4830

# 4
Li7Mg2In: theoretical PXRD pattern (CuKα), based on a DFT-relaxed cell (GGA-PBE, Alexandria).

Main lines, by angle (10 to 90 degrees two-theta):
| 2θ/deg | d [Å] | I_rel |
| --- | --- | --- |
| 14.2 | 6.220 | 860 |
| 16.9 | 5.241 | 726 |
| 19.7 | 4.503 | 1000 |
| 30.2 | 2.963 | 405 |
| 34.4 | 2.605 | 475 |
| 38.8 | 2.318 | 593 |

Structure:
Cell: 12.7259 12.7259 3.0027 Å, 90.00 90.00 155.68°
Sites, in units of the cell vectors:
Li 0.0000 0.0000 0.0000
Li 0.1638 0.3561 0.0000
Li 0.3086 0.6914 0.5000
Li 0.3561 0.1638 0.0000
Li 0.6439 0.8362 0.0000
Li 0.6914 0.3086 0.5000
Li 0.8362 0.6439 0.0000
Mg 0.2041 0.7959 0.0000
Mg 0.7959 0.2041 0.0000
In 0.5000 0.5000 0.5000

Copy entry 2 word for word.
Li5Mg2In12: theoretical PXRD pattern (CuKα), based on a DFT-relaxed cell (GGA-PBE, Alexandria).

Main lines, by angle (10 to 90 degrees two-theta):
| 2θ/deg | d [Å] | I_rel |
| --- | --- | --- |
| 23.9 | 3.716 | 323 |
| 33.7 | 2.657 | 310 |
| 34.0 | 2.635 | 972 |
| 35.6 | 2.523 | 1000 |
| 38.6 | 2.334 | 436 |
| 41.1 | 2.195 | 258 |

Structure:
Cell: 8.4229 8.4229 7.1499 Å, 94.44 94.44 62.19°
Sites, in units of the cell vectors:
Li 0.0000 0.0000 0.0000
Li 0.2431 0.2431 0.0102
Li 0.3388 0.3388 0.5917
Li 0.6612 0.6612 0.4083
Li 0.7569 0.7569 0.9898
Mg 0.1966 0.8034 0.5000
Mg 0.8034 0.1966 0.5000
In 0.0338 0.5757 0.3005
In 0.1514 0.1514 0.3575
In 0.1836 0.6075 0.9106
In 0.3925 0.8164 0.0894
In 0.4243 0.9662 0.6995
In 0.4524 0.4524 0.2738
In 0.5476 0.5476 0.7262
In 0.5757 0.0338 0.3005
In 0.6075 0.1836 0.9106
In 0.8164 0.3925 0.0894
In 0.8486 0.8486 0.6425
In 0.9662 0.4243 0.6995

Copy entry 3 word for word.
Li2Mg4In5: theoretical PXRD pattern (CuKα), based on a DFT-relaxed cell (GGA-PBE, Alexandria).

Main lines, by angle (10 to 90 degrees two-theta):
| 2θ/deg | d [Å] | I_rel |
| --- | --- | --- |
| 20.1 | 4.409 | 1000 |
| 33.2 | 2.699 | 945 |
| 34.8 | 2.581 | 973 |
| 35.8 | 2.509 | 845 |
| 36.4 | 2.469 | 803 |
| 36.7 | 2.449 | 816 |

Structure:
Cell: 5.1667 5.6832 8.8998 Å, 97.81 104.50 91.05°
Sites, in units of the cell vectors:
Li 0.0832 0.0603 0.1676
Li 0.9168 0.9397 0.8324
Mg 0.1750 0.6027 0.3516
Mg 0.4508 0.2299 0.8981
Mg 0.5492 0.7701 0.1019
Mg 0.8250 0.3973 0.6484
In 0.0000 0.5000 0.0000
In 0.2594 0.1542 0.5170
In 0.3678 0.7052 0.7334
In 0.6322 0.2948 0.2666
In 0.7406 0.8458 0.4830